# NiAs2O4
Computed X-ray diffraction stick pattern, Cu Ka. Input: a PBE+U-relaxed structure.

Most intense lines, 2θ from 10° to 90°, in order of rising 2θ:
index  two_theta  I_rel
1 1 0  15.01  40
2 1 1  28.47  100
2 2 0  30.28  36
2 0 2  37.90  38
4 1 1  47.59  41
3 3 2  56.61  31

Cell and atoms:
```
NiAs2O4
1.0
8.3483 0.0000 0.0000
0.0000 8.3483 0.0000
0.0000 0.0000 5.7727
Ni As O
4 8 16
direct
0.0000 0.5000 0.2500
0.0000 0.5000 0.7500
0.5000 0.0000 0.2500
0.5000 0.0000 0.7500
0.1711 0.1856 0.0000
0.1856 0.8289 0.5000
0.3144 0.3289 0.5000
0.3289 0.6856 0.0000
0.6711 0.3144 0.0000
0.6856 0.6711 0.5000
0.8144 0.1711 0.5000
0.8289 0.8144 0.0000
0.1063 0.3646 0.5000
0.1354 0.3937 0.0000
0.1826 0.6826 0.2500
0.1826 0.6826 0.7500
0.3174 0.1826 0.2500
0.3174 0.1826 0.7500
0.3646 0.8937 0.0000
0.3937 0.8646 0.5000
0.6063 0.1354 0.5000
0.6354 0.1063 0.0000
0.6826 0.8174 0.2500
0.6826 0.8174 0.7500
0.8174 0.3174 0.2500
0.8174 0.3174 0.7500
0.8646 0.6063 0.0000
0.8937 0.6354 0.5000
```